# AcAlBiO5
Calculated powder diffractogram, copper Kα. Input: a DFT-relaxed cell (GGA-PBE, Alexandria).

Cell and atoms:
Cell lengths 7.7931, 8.6449, 7.9561 Å; angles 90.00, 113.08, 90.00 degrees
Space group C2/c (No. 15)
Symmetry-distinct sites (fractional):
Ac 0.0000 0.0645 0.2500 [4 per cell]
Al 0.2500 0.2500 0.0000 [4 per cell]
Bi 0.0000 0.4926 0.2500 [4 per cell]
O 0.0000 0.2410 0.7500 [4 per cell]
O 0.0872 0.3113 0.1162 [8 per cell]
O 0.2059 0.0458 0.0519 [8 per cell]

Most intense lines, 10° ≤ 2θ ≤ 90°, most intense first:
- 27.15 deg, I = 100, (2 0 -2)
- 24.84 deg, I = 99, (2 0 0)
- 24.32 deg, I = 94, (0 0 2)
- 20.55 deg, I = 94, (0 2 0)
- 32.05 deg, I = 78, (0 2 2)
- 32.45 deg, I = 69, (2 2 0)
- 34.29 deg, I = 65, (2 2 -2)
- 50.91 deg, I = 46, (4 0 0)
- 41.61 deg, I = 45, (2 0 2)
- 46.86 deg, I = 42, (4 0 -2)

# SrCaAlIn
Calculated powder diffractogram, copper Kα. Input: a DFT-relaxed cell (GGA-PBE, Alexandria).

Cell and atoms:
Cell lengths 7.7984, 7.7984, 7.7984 Å; angles 90.00, 90.00, 90.00 degrees
Space group F-43m (No. 216)
Symmetry-distinct sites (fractional):
Sr 0.0000 0.0000 0.0000 [4 per cell]
Ca 0.0000 0.0000 0.5000 [4 per cell]
Al 0.2500 0.2500 0.7500 [4 per cell]
In 0.2500 0.2500 0.2500 [4 per cell]

Most intense lines, 10° ≤ 2θ ≤ 90°, most intense first:
- 32.47 deg, I = 100, (2 2 0)
- 57.93 deg, I = 36, (4 2 2)
- 19.72 deg, I = 30, (1 1 1)
- 46.59 deg, I = 18, (4 0 0)
- 38.28 deg, I = 17, (3 1 1)
- 77.40 deg, I = 15, (6 2 0)
- 68.00 deg, I = 11, (4 4 0)
- 51.05 deg, I = 7, (3 3 1)
- 61.82 deg, I = 6, (5 1 1)
- 71.58 deg, I = 5, (5 3 1)